SbH3C2O4F6: calculated powder XRD pattern (CuKα), based on a GGA-PBE-relaxed structure.
Lines closer than 0.1° are merged.

a b c (Å): 12.995 9.146 8.602
angles (deg): 90.00 131.11 90.00
Space group Cc (No. 9)
Symmetry-distinct sites (fractional):
Sb 0.000 0.144 0.000 [4 per cell]
H 0.181 0.253 0.887 [4 per cell]
H 0.262 0.362 0.545 [4 per cell]
H 0.389 0.004 0.468 [4 per cell]
C 0.228 0.297 0.719 [4 per cell]
C 0.325 0.164 0.794 [4 per cell]
O 0.163 0.323 0.782 [4 per cell]
O 0.208 0.385 0.588 [4 per cell]
O 0.330 0.084 0.927 [4 per cell]
O 0.383 0.147 0.729 [4 per cell]
F 0.011 0.064 0.505 [4 per cell]
F 0.104 0.145 0.290 [4 per cell]
F 0.166 0.164 0.043 [4 per cell]
F 0.328 0.375 0.441 [4 per cell]
F 0.400 0.357 0.211 [4 per cell]
F 0.486 0.146 0.494 [4 per cell]

Peak list (8 most intense, 15° ≤ 2θ ≤ 90°, in order of rising 2θ)
2θ/deg  Rel. int.
18.12  25
20.65  49
23.05  96
23.84  100
24.62  20
39.41  21
42.61  17
45.98  19